Entry 1:
Starting from a structure optimized by DFT (PBE), the X-ray diffraction stick pattern of ThAl4Ni2 was computed for Cu Kα, 1.54184 Å.

Crystal structure
Cell lengths 7.6575, 7.6575, 3.9655 Å; angles 90.00, 90.00, 90.00 degrees
Space group P4_2/mnm (No. 136)
Inequivalent atoms, fractional coordinates:
Th 0.0000 0.0000 0.0000 [2 per cell]
Al 0.0861 0.3347 0.5000 [8 per cell]
Ni 0.2111 0.7889 0.5000 [4 per cell]

Peak list (8 most intense, 2θ = 10–90°, most intense first)
h k l	2θ (°)	I/Imax
2 1 1	34.61	100
1 1 0	16.37	59
1 0 1	25.29	39
3 1 0	37.13	31
2 2 0	33.09	31
3 0 1	42.10	24
4 3 1	65.31	21
4 1 1	54.56	16

Entry 2:
Starting from a structure optimized by DFT (PBE), the X-ray diffraction stick pattern of SnPd6Rh was computed for Cu Kα, 1.54184 Å.

Crystal structure
Cell lengths 7.2253, 7.2253, 9.9004 Å; angles 90.00, 90.00, 120.00 degrees
Space group R-3m (No. 166, hexagonal axes)
Inequivalent atoms, fractional coordinates:
Sn 0.0000 0.0000 0.0000 [3 per cell]
Pd 0.0834 0.5417 0.3768 [18 per cell]
Rh 0.0000 0.0000 0.5000 [3 per cell]

Peak list (8 most intense, 2θ = 10–90°, most intense first)
h k l	2θ (°)	I/Imax
1 2 2	42.36	100
1 0 4	39.15	96
0 2 1	29.95	50
0 0 3	27.02	37
3 0 3	51.86	31
2 1 4	53.60	27
0 5 1	76.76	24
0 3 6	73.13	20

Entry 3:
Starting from a structure optimized by DFT (PBE), the X-ray diffraction stick pattern of Ti3Zn3Ni2 was computed for Cu Kα, 1.54184 Å.

Crystal structure
Cell lengths 6.6611, 6.6611, 3.0536 Å; angles 90.00, 90.00, 120.00 degrees
Space group P-62m (No. 189)
Inequivalent atoms, fractional coordinates:
Ti 0.0000 0.5788 0.0000 [3 per cell]
Zn 0.0000 0.2299 0.5000 [3 per cell]
Ni 0.3333 0.6667 0.5000 [2 per cell]

Peak list (8 most intense, 2θ = 10–90°, most intense first)
h k l	2θ (°)	I/Imax
2 1 0	41.41	100
1 1 1	40.06	88
2 0 1	43.14	60
2 1 1	51.50	35
2 1 2	76.11	29
0 0 1	29.25	23
4 1 1	82.97	23
3 2 1	78.82	16